Starting from DFT lattice parameters and positions (GGA-PBE), the powder X-ray diffraction pattern of Na2Bi3Pb2 was simulated for copper Kα.
Lines closer than 0.1° are merged.

Structure:
abc: 4.233 6.195 9.075
angles: 90.27 90.07 109.81
Sites, in units of the cell vectors:
1 Na 0.059 0.119 0.208
2 Na 0.941 0.881 0.792
3 Bi 0.326 0.653 0.090
4 Bi 0.500 0.000 0.500
5 Bi 0.674 0.347 0.910
6 Pb 0.207 0.414 0.633
7 Pb 0.793 0.586 0.367

Main lines, in order of rising 2θ (2θ from 5° to 70°):
| 2theta | d [Å] | I_rel |
| --- | --- | --- |
| 18.1 | 4.914 | 30 |
| 29.9 | 2.990 | 100 |
| 32.3 | 2.770 | 30 |
| 32.7 | 2.735 | 38 |
| 32.8 | 2.728 | 38 |
| 33.3 | 2.691 | 27 |

Starting from DFT lattice parameters and positions (GGA-PBE), the powder X-ray diffraction pattern of NaBi4Pb8 was simulated for copper Kα.
Lines closer than 0.1° are merged.

Structure:
abc: 3.503 5.882 20.787
angles: 90.00 90.00 90.00
Sites, in units of the cell vectors:
1 Na 0.000 0.000 0.000
2 Bi 0.000 0.000 0.269
3 Bi 0.000 0.500 0.464
4 Bi 0.500 0.000 0.711
5 Bi 0.500 0.500 0.906
6 Pb 0.000 0.000 0.564
7 Pb 0.000 0.000 0.850
8 Pb 0.000 0.500 0.169
9 Pb 0.000 0.500 0.764
10 Pb 0.500 0.000 0.134
11 Pb 0.500 0.000 0.419
12 Pb 0.500 0.500 0.315
13 Pb 0.500 0.500 0.611

Main lines, in order of rising 2θ (2θ from 5° to 70°):
| 2theta | d [Å] | I_rel |
| --- | --- | --- |
| 30.4 | 2.941 | 58 |
| 32.4 | 2.760 | 100 |
| 33.8 | 2.651 | 59 |
| 34.4 | 2.604 | 45 |
| 55.3 | 1.661 | 27 |
| 60.6 | 1.528 | 26 |

Starting from DFT lattice parameters and positions (GGA-PBE), the powder X-ray diffraction pattern of NaBiPd2Pb4 was simulated for copper Kα.
Lines closer than 0.1° are merged.

Structure:
abc: 4.643 4.643 10.890
angles: 90.00 90.00 90.00
Sites, in units of the cell vectors:
1 Na 0.000 0.000 0.000
2 Bi 0.000 0.000 0.500
3 Pd 0.500 0.500 0.380
4 Pd 0.500 0.500 0.620
5 Pb 0.000 0.500 0.235
6 Pb 0.000 0.500 0.765
7 Pb 0.500 0.000 0.235
8 Pb 0.500 0.000 0.765

Main lines, in order of rising 2θ (2θ from 5° to 70°):
| 2theta | d [Å] | I_rel |
| --- | --- | --- |
| 8.1 | 10.890 | 35 |
| 16.3 | 5.445 | 34 |
| 31.8 | 2.811 | 100 |
| 38.8 | 2.321 | 43 |
| 43.2 | 2.096 | 22 |
| 65.9 | 1.418 | 26 |

Starting from DFT lattice parameters and positions (GGA-PBE), the powder X-ray diffraction pattern of RbNa2Bi2Pb2 was simulated for copper Kα.
Lines closer than 0.1° are merged.

Structure:
abc: 9.575 5.528 10.303
angles: 90.00 108.12 90.00
Sites, in units of the cell vectors:
1 Rb 0.000 0.000 0.000
2 Rb 0.500 0.500 0.000
3 Na 0.139 0.000 0.417
4 Na 0.361 0.500 0.583
5 Na 0.639 0.500 0.417
6 Na 0.861 0.000 0.583
7 Bi 0.248 0.000 0.742
8 Bi 0.252 0.500 0.258
9 Bi 0.748 0.500 0.742
10 Bi 0.752 0.000 0.258
11 Pb 0.061 0.500 0.684
12 Pb 0.439 0.000 0.316
13 Pb 0.561 0.000 0.684
14 Pb 0.939 0.500 0.316

Main lines, in order of rising 2θ (2θ from 5° to 70°):
| 2theta | d [Å] | I_rel |
| --- | --- | --- |
| 18.1 | 4.896 | 48 |
| 22.2 | 4.011 | 60 |
| 28.3 | 3.156 | 32 |
| 32.4 | 2.764 | 100 |
| 35.9 | 2.504 | 37 |
| 37.4 | 2.407 | 50 |

Starting from DFT lattice parameters and positions (GGA-PBE), the powder X-ray diffraction pattern of Na2BiPbS4 was simulated for copper Kα.
Lines closer than 0.1° are merged.

Structure:
abc: 8.183 8.183 8.183
angles: 120.30 119.92 89.81
Sites, in units of the cell vectors:
1 Na 0.000 0.000 0.000
2 Na 0.500 0.000 0.000
3 Na 0.500 0.000 0.500
4 Na 0.500 0.500 0.500
5 Bi 0.000 0.500 0.500
6 Bi 0.500 0.500 0.000
7 Pb 0.000 0.000 0.500
8 Pb 0.000 0.500 0.000
9 S 0.242 0.746 0.496
10 S 0.248 0.255 0.507
11 S 0.248 0.741 0.993
12 S 0.251 0.254 0.996
13 S 0.749 0.746 0.004
14 S 0.752 0.259 0.007
15 S 0.752 0.745 0.493
16 S 0.758 0.254 0.504

Main lines, in order of rising 2θ (2θ from 5° to 70°):
| 2theta | d [Å] | I_rel |
| --- | --- | --- |
| 13.3 | 6.678 | 100 |
| 25.5 | 3.492 | 43 |
| 26.6 | 3.345 | 31 |
| 30.9 | 2.898 | 37 |
| 31.0 | 2.888 | 74 |
| 44.3 | 2.046 | 68 |

Starting from DFT lattice parameters and positions (GGA-PBE), the powder X-ray diffraction pattern of Na2Bi2Sb2Pb5 was simulated for copper Kα.
Lines closer than 0.1° are merged.

Structure:
abc: 18.058 18.058 18.058
angles: 163.63 163.63 23.24
Sites, in units of the cell vectors:
1 Na 0.213 0.213 0.000
2 Na 0.787 0.787 0.000
3 Bi 0.304 0.304 0.000
4 Bi 0.696 0.696 0.000
5 Sb 0.084 0.084 0.000
6 Sb 0.916 0.916 0.000
7 Pb 0.000 0.000 0.000
8 Pb 0.137 0.637 0.500
9 Pb 0.363 0.863 0.500
10 Pb 0.637 0.137 0.500
11 Pb 0.863 0.363 0.500

Main lines, in order of rising 2θ (2θ from 5° to 70°):
| 2theta | d [Å] | I_rel |
| --- | --- | --- |
| 10.0 | 8.844 | 79 |
| 18.8 | 4.714 | 63 |
| 26.5 | 3.364 | 100 |
| 31.9 | 2.809 | 63 |
| 34.9 | 2.572 | 78 |
| 35.4 | 2.536 | 88 |

Starting from DFT lattice parameters and positions (GGA-PBE), the powder X-ray diffraction pattern of Na4Bi3Pd2 was simulated for copper Kα.
Lines closer than 0.1° are merged.

Structure:
abc: 7.985 7.985 7.756
angles: 110.54 110.54 32.73
Sites, in units of the cell vectors:
1 Na 0.110 0.110 0.361
2 Na 0.273 0.273 0.854
3 Na 0.727 0.727 0.146
4 Na 0.890 0.890 0.639
5 Bi 0.400 0.400 0.323
6 Bi 0.500 0.500 0.000
7 Bi 0.600 0.600 0.677
8 Pd 0.083 0.083 0.891
9 Pd 0.917 0.917 0.109

Main lines, in order of rising 2θ (2θ from 5° to 70°):
| 2theta | d [Å] | I_rel |
| --- | --- | --- |
| 12.4 | 7.131 | 100 |
| 20.5 | 4.341 | 77 |
| 20.7 | 4.292 | 38 |
| 32.0 | 2.798 | 87 |
| 35.4 | 2.532 | 40 |
| 40.9 | 2.205 | 37 |

Starting from DFT lattice parameters and positions (GGA-PBE), the powder X-ray diffraction pattern of Na3Bi5Pd6 was simulated for copper Kα.
Lines closer than 0.1° are merged.

Structure:
abc: 4.631 14.375 9.778
angles: 90.00 90.00 90.00
Sites, in units of the cell vectors:
1 Na 0.250 0.071 0.243
2 Na 0.250 0.429 0.243
3 Na 0.250 0.750 0.205
4 Na 0.750 0.250 0.795
5 Na 0.750 0.571 0.757
6 Na 0.750 0.929 0.757
7 Bi 0.250 0.088 0.857
8 Bi 0.250 0.412 0.857
9 Bi 0.250 0.636 0.509
10 Bi 0.250 0.750 0.824
11 Bi 0.250 0.864 0.509
12 Bi 0.750 0.136 0.491
13 Bi 0.750 0.250 0.176
14 Bi 0.750 0.364 0.491
15 Bi 0.750 0.588 0.143
16 Bi 0.750 0.912 0.143
17 Pd 0.250 0.049 0.576
18 Pd 0.250 0.250 0.020
19 Pd 0.250 0.250 0.568
20 Pd 0.250 0.451 0.576
21 Pd 0.250 0.586 0.988
22 Pd 0.250 0.914 0.988
23 Pd 0.750 0.086 0.012
24 Pd 0.750 0.414 0.012
25 Pd 0.750 0.549 0.424
26 Pd 0.750 0.750 0.432
27 Pd 0.750 0.750 0.980
28 Pd 0.750 0.951 0.424

Main lines, in order of rising 2θ (2θ from 5° to 70°):
| 2theta | d [Å] | I_rel |
| --- | --- | --- |
| 18.1 | 4.889 | 68 |
| 21.2 | 4.185 | 82 |
| 32.5 | 2.752 | 100 |
| 38.7 | 2.328 | 70 |
| 38.9 | 2.316 | 76 |
| 46.1 | 1.971 | 52 |

Starting from DFT lattice parameters and positions (GGA-PBE), the powder X-ray diffraction pattern of NaBi5Pd4 was simulated for copper Kα.
Lines closer than 0.1° are merged.

Structure:
abc: 7.726 7.726 6.898
angles: 93.44 93.44 36.48
Sites, in units of the cell vectors:
1 Na 0.000 0.000 0.000
2 Bi 0.000 0.000 0.500
3 Bi 0.330 0.330 0.487
4 Bi 0.341 0.341 0.997
5 Bi 0.659 0.659 0.003
6 Bi 0.670 0.670 0.513
7 Pd 0.167 0.167 0.758
8 Pd 0.496 0.496 0.743
9 Pd 0.504 0.504 0.257
10 Pd 0.833 0.833 0.242

Main lines, in order of rising 2θ (2θ from 5° to 70°):
| 2theta | d [Å] | I_rel |
| --- | --- | --- |
| 25.9 | 3.438 | 60 |
| 36.1 | 2.488 | 100 |
| 36.8 | 2.441 | 47 |
| 37.2 | 2.418 | 47 |
| 37.8 | 2.379 | 88 |
| 53.3 | 1.718 | 34 |

Starting from DFT lattice parameters and positions (GGA-PBE), the powder X-ray diffraction pattern of Na2Bi2Pd5 was simulated for copper Kα.
Lines closer than 0.1° are merged.

Structure:
abc: 8.558 8.558 8.558
angles: 79.40 136.31 117.44
Sites, in units of the cell vectors:
1 Na 0.012 0.125 0.137
2 Na 0.012 0.375 0.387
3 Na 0.988 0.625 0.613
4 Na 0.988 0.875 0.863
5 Bi 0.388 0.161 0.727
6 Bi 0.434 0.661 0.273
7 Bi 0.596 0.096 0.500
8 Bi 0.596 0.596 0.000
9 Pd 0.123 0.228 0.770
10 Pd 0.123 0.854 0.395
11 Pd 0.458 0.354 0.230
12 Pd 0.458 0.728 0.605
13 Pd 0.506 0.097 0.121
14 Pd 0.506 0.885 0.909
15 Pd 0.572 0.460 0.612
16 Pd 0.848 0.960 0.388
17 Pd 0.976 0.385 0.879
18 Pd 0.976 0.597 0.091

Main lines, in order of rising 2θ (2θ from 5° to 70°):
| 2theta | d [Å] | I_rel |
| --- | --- | --- |
| 17.1 | 5.177 | 100 |
| 32.2 | 2.778 | 66 |
| 34.7 | 2.588 | 45 |
| 36.1 | 2.487 | 76 |
| 37.3 | 2.409 | 47 |
| 46.1 | 1.970 | 45 |

Starting from DFT lattice parameters and positions (GGA-PBE), the powder X-ray diffraction pattern of Na3Bi2Pd was simulated for copper Kα.
Lines closer than 0.1° are merged.

Structure:
abc: 9.796 9.796 9.796
angles: 144.42 53.70 141.14
Sites, in units of the cell vectors:
1 Na 0.190 0.135 0.324
2 Na 0.250 0.250 0.000
3 Na 0.310 0.635 0.945
4 Na 0.690 0.365 0.055
5 Na 0.750 0.750 0.000
6 Na 0.810 0.865 0.676
7 Bi 0.123 0.619 0.741
8 Bi 0.377 0.119 0.496
9 Bi 0.623 0.881 0.504
10 Bi 0.877 0.381 0.259
11 Pd 0.250 0.750 0.500
12 Pd 0.750 0.250 0.500

Main lines, in order of rising 2θ (2θ from 5° to 70°):
| 2theta | d [Å] | I_rel |
| --- | --- | --- |
| 15.6 | 5.663 | 100 |
| 22.6 | 3.936 | 66 |
| 33.3 | 2.688 | 43 |
| 34.3 | 2.612 | 53 |
| 37.0 | 2.431 | 28 |
| 40.7 | 2.215 | 27 |

Starting from DFT lattice parameters and positions (GGA-PBE), the powder X-ray diffraction pattern of Na2Bi5Pd3 was simulated for copper Kα.
Lines closer than 0.1° are merged.

Structure:
abc: 14.301 14.301 7.753
angles: 90.00 90.00 161.39
Sites, in units of the cell vectors:
1 Na 0.025 0.975 0.500
2 Na 0.329 0.671 0.549
3 Na 0.671 0.329 0.049
4 Na 0.975 0.025 0.000
5 Bi 0.095 0.905 0.884
6 Bi 0.205 0.795 0.330
7 Bi 0.208 0.792 0.758
8 Bi 0.382 0.618 0.995
9 Bi 0.455 0.545 0.665
10 Bi 0.545 0.455 0.165
11 Bi 0.618 0.382 0.495
12 Bi 0.792 0.208 0.258
13 Bi 0.795 0.205 0.830
14 Bi 0.905 0.095 0.384
15 Pd 0.105 0.895 0.252
16 Pd 0.274 0.726 0.045
17 Pd 0.449 0.551 0.276
18 Pd 0.551 0.449 0.776
19 Pd 0.726 0.274 0.545
20 Pd 0.895 0.105 0.752

Main lines, in order of rising 2θ (2θ from 5° to 70°):
| 2theta | d [Å] | I_rel |
| --- | --- | --- |
| 17.0 | 5.218 | 27 |
| 21.4 | 4.151 | 25 |
| 30.2 | 2.955 | 24 |
| 31.6 | 2.832 | 100 |
| 38.9 | 2.313 | 41 |
| 41.9 | 2.157 | 40 |